# MgNiSe2O8
Calculated PXRD pattern, λ = 1.5418 Å (Cu Kα). Input: a cell relaxed with GGA+U.
Lines closer than 0.1° are merged.

Most intense lines, 2θ = 15–90°, most intense first:
hkl	2θ/deg	I/Imax
1 0 1	24.08	100
1 1 0	32.96	77
1 1 1	36.32	39
0 1 2	35.61	38
2 0 2	49.31	31
2 1 1	53.77	22
1 2 2	60.59	18
2 2 0	69.14	17
1 0 3	49.74	15
3 0 0	58.86	14
2 1 3	71.10	13
1 0 4	65.61	12

Atomic structure:
abc: 5.4349 5.4349 5.9711
angles: 90.00 90.00 120.00
Space group P-3m1 (No. 164)
Symmetry-distinct sites (fractional):
Mg 0.0000 0.0000 0.0000 x1
Ni 0.0000 0.0000 0.5000 x1
Se 0.3333 0.6667 0.6721 x2
O 0.1628 0.3255 0.7622 x6
O 0.3333 0.6667 0.4010 x2